# Si23Cl4
Simulated powder diffraction line list, Cu Ka. Input: a structure optimized by DFT (PBE).

Crystal structure
Lattice parameters (Å, degrees): 10.1964 10.1964 10.1964 90.00 90.00 90.00
Space group Pm-3n (No. 223)
Asymmetric unit:
Si  0.0000  0.1153  0.3113 x24
Si  0.0000  0.2500  0.5000 x6
Si  0.1825  0.1825  0.1825 x16
Cl  0.0000  0.0000  0.0000 x2
Cl  0.0000  0.5000  0.2500 x6

Top 10 peaks for 10° ≤ 2θ ≤ 90°, low angle first:
- 30.37°, I 31
- 31.64°, I 35
- 32.87°, I 100
- 35.21°, I 10
- 36.33°, I 17
- 37.42°, I 11
- 52.32°, I 42
- 53.14°, I 15
- 53.96°, I 20
- 55.56°, I 40